For RbNa2AsO4, a DFT-relaxed cell (PBE, Alexandria) gives the simulated powder X-ray diffraction pattern in this record (Cu Kα).

Main lines, low angle first (2θ = 15–90°):
h k l, two_theta, I (rel.)
1 1 0, 21.5, 48
2 0 0, 30.6, 35
1 1 2, 31.7, 100
2 2 0, 43.8, 23
3 1 2, 55.1, 38
2 0 4, 57.3, 22

Structural model:
a = 5.850 Å, b = 5.850 Å, c = 7.705 Å
α = 90.00°, β = 90.00°, γ = 90.00°
Space group I-42m (No. 121)
Inequivalent atoms, fractional coordinates:
1 Rb 0.000 0.000 0.000 (multiplicity 2)
2 Na 0.000 0.500 0.250 (multiplicity 4)
3 As 0.000 0.000 0.500 (multiplicity 2)
4 O 0.172 0.172 0.371 (multiplicity 8)


For NaAsRhO4, a DFT-relaxed cell (PBE, Alexandria) gives the simulated powder X-ray diffraction pattern in this record (Cu Kα).

Main lines, low angle first (2θ = 15–90°):
h k l, two_theta, I (rel.)
1 1 1, 17.6, 100
2 2 0, 28.9, 83
3 1 1, 34.0, 19
3 3 1, 45.2, 25
4 2 2, 51.1, 32
6 4 2, 82.5, 16

Structural model:
a = 8.752 Å, b = 8.752 Å, c = 8.752 Å
α = 90.00°, β = 90.00°, γ = 90.00°
Space group F-43m (No. 216)
Inequivalent atoms, fractional coordinates:
1 Na 0.000 0.000 0.000 (multiplicity 4)
2 As 0.000 0.000 0.500 (multiplicity 4)
3 Rh 0.250 0.250 0.250 (multiplicity 4)
4 O 0.114 0.114 0.386 (multiplicity 16)


For Na3Sb3As2O14, a DFT-relaxed cell (PBE, Alexandria) gives the simulated powder X-ray diffraction pattern in this record (Cu Kα).

Main lines, low angle first (2θ = 15–90°):
h k l, two_theta, I (rel.)
0 2 0, 24.1, 39
0 2 2, 28.3, 100
2 0 0, 28.4, 60
1 0 -4, 28.6, 46
1 2 2, 33.7, 30
2 2 -2, 37.2, 44

Structural model:
a = 6.567 Å, b = 7.383 Å, c = 12.720 Å
α = 90.00°, β = 107.08°, γ = 90.00°
Space group P2_1/c (No. 14)
Inequivalent atoms, fractional coordinates:
1 Na 0.000 0.000 0.000 (multiplicity 2)
2 Na 0.464 0.211 0.069 (multiplicity 4)
3 Sb 0.000 0.000 0.500 (multiplicity 2)
4 Sb 0.024 0.241 0.254 (multiplicity 4)
5 As 0.415 0.734 0.160 (multiplicity 4)
6 O 0.032 0.704 0.905 (multiplicity 4)
7 O 0.066 0.005 0.804 (multiplicity 4)
8 O 0.101 0.190 0.416 (multiplicity 4)
9 O 0.294 0.727 0.762 (multiplicity 4)
10 O 0.317 0.531 0.092 (multiplicity 4)
11 O 0.331 0.189 0.256 (multiplicity 4)
12 O 0.388 0.596 0.569 (multiplicity 4)


For NaSbAs2O6, a DFT-relaxed cell (PBE, Alexandria) gives the simulated powder X-ray diffraction pattern in this record (Cu Kα).

Main lines, low angle first (2θ = 15–90°):
h k l, two_theta, I (rel.)
1 0 1, 19.3, 39
1 0 4, 26.7, 100
0 1 5, 30.3, 36
1 1 0, 32.7, 75
2 -1 3, 35.7, 43
1 1 9, 55.3, 45

Structural model:
a = 5.4848 Å, b = 5.4848 Å, c = 18.7903 Å
α = 90.00°, β = 90.00°, γ = 120.00°
Space group R3 (No. 146, hexagonal axes)
Inequivalent atoms, fractional coordinates:
1 Na 0.0000 0.0000 0.0000 (multiplicity 3)
2 Sb 0.0000 0.0000 0.5732 (multiplicity 3)
3 As 0.0000 0.0000 0.2498 (multiplicity 3)
4 As 0.0000 0.0000 0.8017 (multiplicity 3)
5 O 0.0071 0.4377 0.9685 (multiplicity 9)
6 O 0.0938 0.7556 0.5119 (multiplicity 9)


For NaSb2AsO8, a DFT-relaxed cell (PBE, Alexandria) gives the simulated powder X-ray diffraction pattern in this record (Cu Kα).

Main lines, low angle first (2θ = 15–90°):
h k l, two_theta, I (rel.)
1 0 0, 18.9, 49
1 0 -1, 25.9, 78
1 0 1, 27.8, 65
1 2 0, 34.3, 100
2 2 -1, 51.3, 50
2 2 1, 53.4, 43

Structural model:
a = 4.707 Å, b = 6.291 Å, c = 4.718 Å
α = 90.00°, β = 94.01°, γ = 90.00°
Space group P2/m (No. 10)
Inequivalent atoms, fractional coordinates:
1 Na 0.000 0.000 0.000 (multiplicity 1)
2 Sb 0.500 0.250 0.500 (multiplicity 2)
3 As 0.000 0.500 0.000 (multiplicity 1)
4 O 0.192 0.285 0.189 (multiplicity 4)
5 O 0.296 0.500 0.699 (multiplicity 2)
6 O 0.318 0.000 0.680 (multiplicity 2)


For Na2SrAsO, a DFT-relaxed cell (PBE, Alexandria) gives the simulated powder X-ray diffraction pattern in this record (Cu Kα).

Main lines, low angle first (2θ = 15–90°):
h k l, two_theta, I (rel.)
0 0 2, 17.9, 27
2 0 0, 26.9, 39
2 0 2, 32.5, 100
0 0 4, 36.3, 26
2 2 0, 38.4, 42
2 2 4, 53.8, 30

Structural model:
a = 6.628 Å, b = 6.628 Å, c = 9.912 Å
α = 90.00°, β = 90.00°, γ = 90.00°
Space group I4/mcm (No. 140)
Inequivalent atoms, fractional coordinates:
1 Na 0.232 0.268 0.000 (multiplicity 8)
2 Sr 0.000 0.000 0.250 (multiplicity 4)
3 As 0.000 0.500 0.250 (multiplicity 4)
4 O 0.000 0.000 0.000 (multiplicity 4)


For Na2SrAs2O6, a DFT-relaxed cell (PBE, Alexandria) gives the simulated powder X-ray diffraction pattern in this record (Cu Kα).

Main lines, low angle first (2θ = 15–90°):
h k l, two_theta, I (rel.)
1 0 1, 22.4, 79
1 1 0, 30.1, 96
2 -1 1, 33.5, 66
1 0 2, 33.6, 100
0 2 2, 45.8, 36
3 -1 2, 55.8, 40

Structural model:
a = 5.9285 Å, b = 5.9285 Å, c = 6.2367 Å
α = 90.00°, β = 90.00°, γ = 120.00°
Space group P-3 (No. 147)
Inequivalent atoms, fractional coordinates:
1 Na 0.3333 0.6667 0.3803 (multiplicity 2)
2 Sr 0.0000 0.0000 0.0000 (multiplicity 1)
3 As 0.3333 0.6667 0.8636 (multiplicity 2)
4 O 0.0662 0.6820 0.7648 (multiplicity 6)


For Na2TcAsO6, a DFT-relaxed cell (PBE, Alexandria) gives the simulated powder X-ray diffraction pattern in this record (Cu Kα).

Main lines, low angle first (2θ = 15–90°):
h k l, two_theta, I (rel.)
0 0 1, 18.1, 58
1 1 0, 23.3, 59
1 1 1, 29.7, 100
2 0 0, 33.2, 32
2 2 0, 47.7, 30
3 1 1, 57.2, 30

Structural model:
a = 5.394 Å, b = 5.394 Å, c = 4.905 Å
α = 90.00°, β = 90.00°, γ = 90.00°
Space group P4mm (No. 99)
Inequivalent atoms, fractional coordinates:
1 Na 0.000 0.500 0.000 (multiplicity 2)
2 Tc 0.000 0.000 0.570 (multiplicity 1)
3 As 0.500 0.500 0.563 (multiplicity 1)
4 O 0.000 0.000 0.210 (multiplicity 1)
5 O 0.235 0.235 0.679 (multiplicity 4)
6 O 0.500 0.500 0.215 (multiplicity 1)


For Na2ThAs2O8, a DFT-relaxed cell (PBE, Alexandria) gives the simulated powder X-ray diffraction pattern in this record (Cu Kα).

Main lines, low angle first (2θ = 15–90°):
h k l, two_theta, I (rel.)
1 1 1, 15.1, 100
1 3 1, 25.3, 28
1 1 5, 28.0, 36
2 2 0, 28.9, 42
0 2 6, 32.3, 26
2 4 6, 48.7, 23

Structural model:
a = 7.131 Å, b = 12.425 Å, c = 18.602 Å
α = 90.00°, β = 90.00°, γ = 90.00°
Space group Fddd (No. 70, origin choice 2)
Inequivalent atoms, fractional coordinates:
1 Na 0.125 0.125 0.271 (multiplicity 16)
2 Th 0.125 0.125 0.625 (multiplicity 8)
3 As 0.125 0.125 0.447 (multiplicity 16)
4 O 0.050 0.338 0.994 (multiplicity 32)
5 O 0.077 0.021 0.390 (multiplicity 32)


Repeat the ninth record exactly.
For Na2ThAs2O8, a DFT-relaxed cell (PBE, Alexandria) gives the simulated powder X-ray diffraction pattern in this record (Cu Kα).

Main lines, low angle first (2θ = 15–90°):
h k l, two_theta, I (rel.)
1 1 1, 15.1, 100
1 3 1, 25.3, 28
1 1 5, 28.0, 36
2 2 0, 28.9, 42
0 2 6, 32.3, 26
2 4 6, 48.7, 23

Structural model:
a = 7.131 Å, b = 12.425 Å, c = 18.602 Å
α = 90.00°, β = 90.00°, γ = 90.00°
Space group Fddd (No. 70, origin choice 2)
Inequivalent atoms, fractional coordinates:
1 Na 0.125 0.125 0.271 (multiplicity 16)
2 Th 0.125 0.125 0.625 (multiplicity 8)
3 As 0.125 0.125 0.447 (multiplicity 16)
4 O 0.050 0.338 0.994 (multiplicity 32)
5 O 0.077 0.021 0.390 (multiplicity 32)